No. 1
Simulated X-ray powder pattern of BaHf2Zn2O7 for Cu Kα, 1.54184 Å, from DFT lattice parameters and positions (GGA-PBE).

```
data_BaHf2Zn2O7
_cell_length_a 4.121
_cell_length_b 4.234
_cell_length_c 18.224
_cell_angle_alpha 90.00
_cell_angle_beta 90.00
_cell_angle_gamma 90.00
_symmetry_space_group_name_H-M 'I m m m'
_symmetry_Int_Tables_number 71
_symmetry_space_group_name_Hall '-I 2 2'
loop_
_atom_site_label
_atom_site_fract_x
_atom_site_fract_y
_atom_site_fract_z
Ba1 0.000 0.000 0.000
Hf1 0.000 0.000 0.386
Zn1 0.000 0.500 0.264
O1 0.000 0.000 0.268
O2 0.000 0.000 0.500
O3 0.000 0.500 0.111
O4 0.000 0.500 0.381
```

Peak list (12 most intense, 5° ≤ 2θ ≤ 70°, low angle first)
- 2θ 25.65, intensity 59, (0 1 3)
- 2θ 26.13, intensity 96, (1 0 3)
- 2θ 30.27, intensity 53, (1 1 0)
- 2θ 31.86, intensity 80, (1 1 2)
- 2θ 32.41, intensity 100, (0 1 5)
- 2θ 32.80, intensity 51, (1 0 5)
- 2θ 36.25, intensity 34, (1 1 4)
- 2θ 39.56, intensity 49, (0 0 8)
- 2θ 42.71, intensity 61, (0 2 0)
- 2θ 43.95, intensity 50, (2 0 0)
- 2θ 55.65, intensity 44, (2 1 5)
- 2θ 59.62, intensity 54, (0 2 8)



No. 2
Simulated X-ray powder pattern of Ba3HfZn2O8 for Cu Kα, 1.54184 Å, from DFT lattice parameters and positions (GGA-PBE).

```
data_Ba3HfZn2O8
_cell_length_a 5.9160
_cell_length_b 5.9160
_cell_length_c 7.6485
_cell_angle_alpha 90.00
_cell_angle_beta 90.00
_cell_angle_gamma 120.00
_symmetry_space_group_name_H-M 'P -3 m 1'
_symmetry_Int_Tables_number 164
_symmetry_space_group_name_Hall '-P 3 2"'
loop_
_atom_site_label
_atom_site_fract_x
_atom_site_fract_y
_atom_site_fract_z
Ba1 0.0000 0.0000 0.0000
Ba2 0.3333 0.6667 0.6470
Hf1 0.0000 0.0000 0.5000
Zn1 0.3333 0.6667 0.2204
O1 0.1619 0.3237 0.3364
O2 0.3333 0.6667 0.9777
```

Peak list (12 most intense, 5° ≤ 2θ ≤ 70°, low angle first)
- 2θ 11.57, intensity 24, (0 0 1)
- 2θ 17.31, intensity 9, (1 0 0)
- 2θ 29.14, intensity 86, (0 1 2)
- 2θ 30.21, intensity 100, (1 1 0)
- 2θ 39.48, intensity 10, (0 1 3)
- 2θ 42.47, intensity 43, (2 0 2)
- 2θ 50.98, intensity 14, (1 0 4)
- 2θ 53.01, intensity 33, (1 2 2)
- 2θ 53.67, intensity 20, (3 0 0)
- 2θ 60.41, intensity 12, (0 2 4)
- 2θ 62.83, intensity 16, (2 2 0)
- 2θ 69.03, intensity 12, (2 1 4)



No. 3
Simulated X-ray powder pattern of BaHf2Pb2 for Cu Kα, 1.54184 Å, from DFT lattice parameters and positions (GGA-PBE).

```
data_BaHf2Pb2
_cell_length_a 9.112
_cell_length_b 9.112
_cell_length_c 3.304
_cell_angle_alpha 90.00
_cell_angle_beta 90.00
_cell_angle_gamma 90.00
_symmetry_space_group_name_H-M 'P 4/m b m'
_symmetry_Int_Tables_number 127
_symmetry_space_group_name_Hall '-P 4 2ab'
loop_
_atom_site_label
_atom_site_fract_x
_atom_site_fract_y
_atom_site_fract_z
Ba1 0.000 0.000 0.000
Hf1 0.117 0.383 0.000
Pb1 0.173 0.673 0.500
```

Peak list (12 most intense, 5° ≤ 2θ ≤ 70°, low angle first)
- 2θ 13.74, intensity 17, (1 1 0)
- 2θ 27.69, intensity 12, (2 2 0)
- 2θ 31.04, intensity 54, (3 1 0)
- 2θ 33.51, intensity 31, (2 0 1)
- 2θ 34.97, intensity 100, (2 1 1)
- 2θ 35.52, intensity 18, (3 2 0)
- 2θ 40.83, intensity 17, (4 1 0)
- 2θ 49.63, intensity 12, (4 1 1)
- 2θ 50.70, intensity 10, (3 3 1)
- 2θ 58.74, intensity 18, (5 1 1)
- 2θ 61.58, intensity 13, (5 2 1)
- 2θ 65.09, intensity 13, (3 1 2)



No. 4
Simulated X-ray powder pattern of Ba2HfPd2 for Cu Kα, 1.54184 Å, from DFT lattice parameters and positions (GGA-PBE).

```
data_Ba2HfPd2
_cell_length_a 7.296
_cell_length_b 7.296
_cell_length_c 5.302
_cell_angle_alpha 90.00
_cell_angle_beta 90.00
_cell_angle_gamma 90.00
_symmetry_space_group_name_H-M 'P 4/m b m'
_symmetry_Int_Tables_number 127
_symmetry_space_group_name_Hall '-P 4 2ab'
loop_
_atom_site_label
_atom_site_fract_x
_atom_site_fract_y
_atom_site_fract_z
Ba1 0.170 0.330 0.000
Hf1 0.000 0.000 0.500
Pd1 0.143 0.643 0.500
```

Peak list (12 most intense, 5° ≤ 2θ ≤ 70°, low angle first)
- 2θ 16.72, intensity 8, (0 0 1)
- 2θ 24.07, intensity 18, (1 1 1)
- 2θ 29.73, intensity 34, (2 0 1)
- 2θ 32.21, intensity 100, (2 1 1)
- 2θ 33.81, intensity 36, (0 0 2)
- 2θ 34.78, intensity 11, (2 2 0)
- 2θ 39.04, intensity 41, (3 1 0)
- 2θ 42.74, intensity 10, (3 1 1)
- 2θ 49.29, intensity 8, (2 2 2)
- 2θ 52.58, intensity 35, (3 1 2)
- 2θ 54.68, intensity 13, (4 1 1)
- 2θ 59.48, intensity 17, (2 1 3)



No. 5
Simulated X-ray powder pattern of BaHfPtSe2 for Cu Kα, 1.54184 Å, from DFT lattice parameters and positions (GGA-PBE).

```
data_BaHfPtSe2
_cell_length_a 5.492
_cell_length_b 5.492
_cell_length_c 7.167
_cell_angle_alpha 90.00
_cell_angle_beta 90.00
_cell_angle_gamma 90.00
_symmetry_space_group_name_H-M 'P 4/m m m'
_symmetry_Int_Tables_number 123
_symmetry_space_group_name_Hall '-P 4 2'
loop_
_atom_site_label
_atom_site_fract_x
_atom_site_fract_y
_atom_site_fract_z
Ba1 0.000 0.000 0.000
Hf1 0.000 0.000 0.500
Pt1 0.500 0.500 0.500
Se1 0.000 0.500 0.000
```

Peak list (12 most intense, 5° ≤ 2θ ≤ 70°, low angle first)
- 2θ 20.37, intensity 25, (1 0 1)
- 2θ 22.90, intensity 50, (1 1 0)
- 2θ 24.85, intensity 79, (0 0 2)
- 2θ 26.10, intensity 100, (1 1 1)
- 2θ 32.61, intensity 78, (2 0 0)
- 2θ 34.04, intensity 37, (1 1 2)
- 2θ 41.42, intensity 81, (2 0 2)
- 2θ 44.53, intensity 24, (1 1 3)
- 2θ 46.78, intensity 29, (2 2 0)
- 2θ 53.69, intensity 38, (2 2 2)
- 2θ 54.35, intensity 27, (3 1 1)
- 2θ 61.83, intensity 25, (2 0 4)



No. 6
Simulated X-ray powder pattern of Rb2BaHfS4 for Cu Kα, 1.54184 Å, from DFT lattice parameters and positions (GGA-PBE).

```
data_Rb2BaHfS4
_cell_length_a 8.160
_cell_length_b 9.246
_cell_length_c 12.466
_cell_angle_alpha 90.00
_cell_angle_beta 90.00
_cell_angle_gamma 90.00
_symmetry_space_group_name_H-M 'I m m a'
_symmetry_Int_Tables_number 74
_symmetry_space_group_name_Hall '-I 2b 2'
loop_
_atom_site_label
_atom_site_fract_x
_atom_site_fract_y
_atom_site_fract_z
Rb1 0.000 0.000 0.000
Rb2 0.250 0.250 0.250
Ba1 0.000 0.000 0.500
Hf1 0.250 0.250 0.750
S1 0.000 0.061 0.748
S2 0.243 0.250 0.546
```

Peak list (12 most intense, 5° ≤ 2θ ≤ 70°, low angle first)
- 2θ 11.92, intensity 41, (0 1 1)
- 2θ 23.97, intensity 64, (0 2 2)
- 2θ 26.10, intensity 46, (2 0 2)
- 2θ 28.64, intensity 49, (0 0 4)
- 2θ 29.19, intensity 100, (2 2 0)
- 2θ 38.97, intensity 19, (0 4 0)
- 2θ 41.36, intensity 66, (2 2 4)
- 2θ 44.41, intensity 17, (4 0 0)
- 2θ 47.51, intensity 26, (2 4 2)
- 2θ 49.07, intensity 17, (0 4 4)
- 2θ 51.09, intensity 17, (4 2 2)
- 2θ 67.45, intensity 22, (2 2 8)



What did the second record say?
Simulated X-ray powder pattern of Ba3HfZn2O8 for Cu Kα, 1.54184 Å, from DFT lattice parameters and positions (GGA-PBE).

```
data_Ba3HfZn2O8
_cell_length_a 5.9160
_cell_length_b 5.9160
_cell_length_c 7.6485
_cell_angle_alpha 90.00
_cell_angle_beta 90.00
_cell_angle_gamma 120.00
_symmetry_space_group_name_H-M 'P -3 m 1'
_symmetry_Int_Tables_number 164
_symmetry_space_group_name_Hall '-P 3 2"'
loop_
_atom_site_label
_atom_site_fract_x
_atom_site_fract_y
_atom_site_fract_z
Ba1 0.0000 0.0000 0.0000
Ba2 0.3333 0.6667 0.6470
Hf1 0.0000 0.0000 0.5000
Zn1 0.3333 0.6667 0.2204
O1 0.1619 0.3237 0.3364
O2 0.3333 0.6667 0.9777
```

Peak list (12 most intense, 5° ≤ 2θ ≤ 70°, low angle first)
- 2θ 11.57, intensity 24, (0 0 1)
- 2θ 17.31, intensity 9, (1 0 0)
- 2θ 29.14, intensity 86, (0 1 2)
- 2θ 30.21, intensity 100, (1 1 0)
- 2θ 39.48, intensity 10, (0 1 3)
- 2θ 42.47, intensity 43, (2 0 2)
- 2θ 50.98, intensity 14, (1 0 4)
- 2θ 53.01, intensity 33, (1 2 2)
- 2θ 53.67, intensity 20, (3 0 0)
- 2θ 60.41, intensity 12, (0 2 4)
- 2θ 62.83, intensity 16, (2 2 0)
- 2θ 69.03, intensity 12, (2 1 4)